Calculated XRD peak list
Compound: La4AsBrO8
Radiation: Cu Kα, 1.54184 Å
Structure: a PBE-relaxed structure
No peak broadening, texture or thermal motion is included.

Main lines, by intensity (2θ = 10–90°):
2θ/deg  intensity
28.7  100
29.7  41
52.0  33
50.2  24
42.4  19
39.5  11
65.2  10
80.9  9

Structural model:
a = 8.521 Å, b = 8.521 Å, c = 13.675 Å
α = 90.00°, β = 90.00°, γ = 90.00°
Sites, in units of the cell vectors:
La: 0.013 0.755 0.168
La: 0.013 0.755 0.832
La: 0.245 0.013 0.332
La: 0.245 0.013 0.668
La: 0.245 0.484 0.332
La: 0.245 0.484 0.668
La: 0.484 0.755 0.168
La: 0.484 0.755 0.832
La: 0.516 0.245 0.168
La: 0.516 0.245 0.832
La: 0.755 0.516 0.332
La: 0.755 0.516 0.668
La: 0.755 0.987 0.332
La: 0.755 0.987 0.668
La: 0.987 0.245 0.168
La: 0.987 0.245 0.832
As: 0.043 0.748 0.500
As: 0.252 0.043 0.000
As: 0.748 0.957 0.000
As: 0.957 0.252 0.500
Br: 0.253 0.555 0.000
Br: 0.445 0.253 0.500
Br: 0.555 0.747 0.500
Br: 0.747 0.445 0.000
O: 0.000 0.000 0.250
O: 0.000 0.000 0.750
O: 0.000 0.500 0.239
O: 0.000 0.500 0.761
O: 0.071 0.252 0.396
O: 0.071 0.252 0.604
O: 0.087 0.163 0.000
O: 0.163 0.584 0.500
O: 0.163 0.913 0.500
O: 0.250 0.743 0.270
O: 0.250 0.743 0.730
O: 0.252 0.929 0.104
O: 0.252 0.929 0.896
O: 0.257 0.250 0.230
O: 0.257 0.250 0.770
O: 0.416 0.163 0.000
O: 0.500 0.000 0.261
O: 0.500 0.000 0.739
O: 0.500 0.500 0.250
O: 0.500 0.500 0.750
O: 0.584 0.837 0.000
O: 0.743 0.750 0.230
O: 0.743 0.750 0.770
O: 0.748 0.071 0.104
O: 0.748 0.071 0.896
O: 0.750 0.257 0.270
O: 0.750 0.257 0.730
O: 0.837 0.087 0.500
O: 0.837 0.416 0.500
O: 0.913 0.837 0.000
O: 0.929 0.748 0.396
O: 0.929 0.748 0.604

Calculated XRD peak list
Compound: Rb2NaAsBr6
Radiation: Cu Kα, 1.54184 Å
Structure: a PBE-relaxed structure
No peak broadening, texture or thermal motion is included.

Main lines, by intensity (2θ = 10–90°):
2θ/deg  intensity
27.6  100
32.0  94
45.9  66
54.4  41
76.2  28
57.1  22
85.0  21
73.9  16

Structural model:
a = 7.906 Å, b = 7.906 Å, c = 7.906 Å
α = 60.00°, β = 60.00°, γ = 60.00°
Sites, in units of the cell vectors:
Rb: 0.250 0.250 0.250
Rb: 0.750 0.750 0.750
Na: 0.000 0.000 0.000
As: 0.500 0.500 0.500
Br: 0.262 0.262 0.738
Br: 0.262 0.738 0.262
Br: 0.262 0.738 0.738
Br: 0.738 0.262 0.262
Br: 0.738 0.262 0.738
Br: 0.738 0.738 0.262